# Li4MnO2F2
Calculated X-ray diffraction stick pattern, copper Kα. Input: a structure optimized by DFT (PBE+U).

Principal peaks in the range 2θ = 15–90°, low angle first:
d [Å], I (rel.)
5.385, 53
4.196, 56
4.138, 51
3.134, 81
2.843, 100
2.693, 46
2.498, 47
1.582, 31

Cell: 8.276 7.092 6.695 Å, 90.00 90.00 90.00°
Space group Cmcm (No. 63)
Asymmetric unit:
Li 0.157 0.238 0.250
Li 0.167 0.500 0.000
Mn 0.000 0.125 0.750
O 0.223 0.025 0.750
F 0.000 0.298 0.028